Structure and theoretical powder diffractogram of Tb4Co2C3 (a structure optimized by DFT (PBE); Cu Kα (weighted mean of Kα1 and Kα2)).

Crystal structure
Cell lengths 7.1690, 3.6250, 12.7663 Å; angles 90.00, 105.89, 90.00 degrees
Space group P2/m (No. 10)
Symmetry-distinct sites (fractional):
Tb1 0.0951 0.0000 0.2228 (multiplicity 2)
Tb2 0.2522 0.0000 0.5026 (multiplicity 2)
Tb3 0.2630 0.5000 0.9913 (multiplicity 2)
Tb4 0.3809 0.0000 0.7876 (multiplicity 2)
Co1 0.0732 0.5000 0.6455 (multiplicity 2)
Co2 0.4249 0.5000 0.3482 (multiplicity 2)
C1 0.0000 0.5000 0.5000 (multiplicity 1)
C2 0.1483 0.5000 0.7994 (multiplicity 2)
C3 0.4251 0.0000 0.3503 (multiplicity 2)
C4 0.5000 0.0000 0.0000 (multiplicity 1)

Principal peaks in the range 2θ = 10–90°, in order of rising 2θ:
2theta	Rel. int.
28.60	17
29.09	24
33.04	100
33.35	31
35.21	93
38.44	19
46.17	16
46.43	14
50.34	18
50.95	16

Structure and theoretical powder diffractogram of TlCoW4C2 (a structure optimized by DFT (PBE); Cu Kα (weighted mean of Kα1 and Kα2)).

Crystal structure
Cell lengths 3.0886, 3.0886, 13.3797 Å; angles 90.00, 90.00, 120.00 degrees
Space group P-6m2 (No. 187)
Symmetry-distinct sites (fractional):
Tl1 0.0000 0.0000 0.0000 (multiplicity 1)
Co1 0.3333 0.6667 0.5000 (multiplicity 1)
W1 0.0000 0.0000 0.3586 (multiplicity 2)
W2 0.3333 0.6667 0.1857 (multiplicity 2)
C1 0.6667 0.3333 0.2698 (multiplicity 2)

Principal peaks in the range 2θ = 10–90°, in order of rising 2θ:
2theta	Rel. int.
33.50	40
36.17	14
39.28	100
40.45	13
53.50	10
59.89	23
65.86	15
70.39	12
74.00	16
74.78	13

Structure and theoretical powder diffractogram of Zr4TlCoC2 (a structure optimized by DFT (PBE); Cu Kα (weighted mean of Kα1 and Kα2)).

Crystal structure
Cell lengths 3.3450, 3.3450, 14.1319 Å; angles 90.00, 90.00, 120.00 degrees
Space group P-6m2 (No. 187)
Symmetry-distinct sites (fractional):
Zr1 0.0000 0.0000 0.1347 (multiplicity 2)
Zr2 0.3333 0.6667 0.3179 (multiplicity 2)
Tl1 0.0000 0.0000 0.5000 (multiplicity 1)
Co1 0.3333 0.6667 0.0000 (multiplicity 1)
C1 0.6667 0.3333 0.2329 (multiplicity 2)

Principal peaks in the range 2θ = 10–90°, in order of rising 2θ:
2theta	Rel. int.
30.87	30
31.66	12
33.43	23
36.41	100
38.21	12
44.80	14
54.90	24
61.48	15
67.67	16
68.85	13

Structure and theoretical powder diffractogram of TmCoC (a structure optimized by DFT (PBE); Cu Kα (weighted mean of Kα1 and Kα2)).

Crystal structure
Cell lengths 3.5953, 3.5953, 6.7466 Å; angles 90.00, 90.00, 90.00 degrees
Space group P4_2/mmc (No. 131)
Symmetry-distinct sites (fractional):
Tm1 0.0000 0.0000 0.2500 (multiplicity 2)
Co1 0.5000 0.5000 0.0000 (multiplicity 2)
C1 0.0000 0.5000 0.0000 (multiplicity 2)

Principal peaks in the range 2θ = 10–90°, in order of rising 2θ:
2theta	Rel. int.
24.76	28
26.42	9
35.30	50
36.53	100
44.63	15
50.79	21
54.40	8
64.17	38
66.53	16
77.62	12